BaZrOsO6: theoretical X-ray diffraction stick pattern (Cu Kα), based on a structure optimized by DFT (PBE).
Intensities are scaled so that the largest is 100.

Most intense lines, 5° ≤ 2θ ≤ 70°, in order of rising 2θ:
| d/Å | Rel. int. |
| --- | --- |
| 6.058 | 43 |
| 3.165 | 33 |
| 3.124 | 100 |
| 2.976 | 39 |
| 2.018 | 29 |
| 1.836 | 25 |

Crystal structure
```
BaZrOsO6
1.0
-3.6391 3.7378 5.1687
3.6391 -3.7378 5.1687
3.6391 3.7378 -5.1687
Ba Zr Os O
2 2 2 12
Direct
0.3336 0.0836 0.2500 Ba
0.6664 0.9164 0.7500 Ba
0.0000 0.5000 0.5000 Zr
0.5000 0.5000 0.0000 Zr
0.0000 0.0000 0.5000 Os
0.0000 0.5000 0.0000 Os
0.0153 0.7653 0.2500 O
0.0494 0.3786 0.1944 O
0.0494 0.8550 0.6708 O
0.3158 0.1450 0.6944 O
0.3158 0.6214 0.1708 O
0.3369 0.5869 0.7500 O
0.6631 0.4131 0.2500 O
0.6842 0.3786 0.8292 O
0.6842 0.8550 0.3056 O
0.9506 0.1450 0.3292 O
0.9506 0.6214 0.8056 O
0.9847 0.2347 0.7500 O
```

Y3Al3Ru: theoretical X-ray diffraction stick pattern (Cu Kα), based on a structure optimized by DFT (PBE).
Intensities are scaled so that the largest is 100.

Most intense lines, 5° ≤ 2θ ≤ 70°, in order of rising 2θ:
| d/Å | Rel. int. |
| --- | --- |
| 14.639 | 59 |
| 2.797 | 100 |
| 2.716 | 46 |
| 2.695 | 59 |
| 2.331 | 48 |
| 1.937 | 33 |

Crystal structure
```
Y3Al3Ru
1.0
5.6257 -1.9374 0.0000
5.6257 1.9374 0.0000
-4.3049 0.0000 14.6389
Y Al Ru
6 6 2
Direct
0.0181 0.0181 0.3860 Y
0.1221 0.1221 0.9216 Y
0.2388 0.2388 0.2397 Y
0.7612 0.7612 0.7603 Y
0.8779 0.8779 0.0784 Y
0.9819 0.9819 0.6140 Y
0.3259 0.3259 0.4663 Al
0.4020 0.4020 0.9253 Al
0.4779 0.4779 0.7716 Al
0.5221 0.5221 0.2284 Al
0.5980 0.5980 0.0747 Al
0.6741 0.6741 0.5337 Al
0.2798 0.2798 0.6268 Ru
0.7202 0.7202 0.3732 Ru
```